BaSrNi4O12: theoretical X-ray diffraction stick pattern (copper Kα), based on the GGA+U geometry in the Materials Project.
Neutral-atom scattering factors, no anomalous dispersion.

Crystal structure
```
BaSrNi4O12
1.0
5.568 0.000 0.000
0.000 5.568 0.000
0.000 0.000 7.870
Ba Sr Ni O
1 1 4 12
Direct
0.000 0.000 0.000
0.500 0.500 0.500
0.000 0.500 0.250
0.000 0.500 0.750
0.500 0.000 0.250
0.500 0.000 0.750
0.000 0.500 0.000
0.000 0.500 0.500
0.252 0.252 0.253
0.252 0.252 0.747
0.252 0.748 0.253
0.252 0.748 0.747
0.500 0.000 0.000
0.500 0.000 0.500
0.748 0.252 0.253
0.748 0.252 0.747
0.748 0.748 0.253
0.748 0.748 0.747
```

Largest 10 diffraction maxima, in order of rising 2θ, 10° ≤ 2θ ≤ 80°:
d 4.546, intensity 65, (1 0 1)
d 2.784, intensity 100, (2 0 0)
d 2.374, intensity 36, (2 1 1)
d 1.968, intensity 46, (2 2 0)
d 1.806, intensity 16, (3 0 1)
d 1.607, intensity 38, (3 1 2)
d 1.515, intensity 12, (3 2 1)
d 1.392, intensity 26, (4 0 0)
d 1.331, intensity 11, (4 1 1)
d 1.245, intensity 16, (4 2 0)